No. 1
Theoretical X-ray powder pattern
Compound: SmY3Ho2
Radiation: Cu Kα
Structure: a DFT-relaxed cell (GGA-PBE, Alexandria)
No peak broadening, texture or thermal motion is included.

Top 8 peaks for 5° ≤ 2θ ≤ 70°, sorted by position:
2θ/deg, d [Å], I (rel.)
30.72, 2.910, 100
35.58, 2.523, 34
35.69, 2.516, 17
51.23, 1.783, 24
51.30, 1.781, 12
60.91, 1.521, 28
61.05, 1.518, 14
63.98, 1.455, 12

Cell and atoms:
Lattice parameters (Å, degrees): 9.4373 9.4373 6.1656 90.14 90.14 44.42
Element x y z (fractional)
Sm  0.1253  0.8747  0.7500
Sm  0.8747  0.1253  0.2500
Y  0.0423  0.2929  0.9162
Y  0.2929  0.0423  0.4162
Y  0.3756  0.6244  0.2500
Y  0.6244  0.3756  0.7500
Y  0.7071  0.9577  0.5838
Y  0.9577  0.7071  0.0838
Ho  0.2081  0.4577  0.5827
Ho  0.4577  0.2081  0.0827
Ho  0.5423  0.7919  0.9173
Ho  0.7919  0.5423  0.4173


No. 2
Theoretical X-ray powder pattern
Compound: TlAg14Pd
Radiation: Cu Kα
Structure: a DFT-relaxed cell (GGA-PBE, Alexandria)
No peak broadening, texture or thermal motion is included.

Top 8 peaks for 5° ≤ 2θ ≤ 70°, sorted by position:
2θ/deg, d [Å], I (rel.)
35.98, 2.496, 25
36.50, 2.462, 53
37.44, 2.402, 58
39.60, 2.276, 58
40.07, 2.250, 100
45.51, 1.993, 28
62.56, 1.485, 24
69.32, 1.356, 18

Cell and atoms:
Lattice parameters (Å, degrees): 9.6070 5.9401 5.9401 59.03 90.00 90.00
Element x y z (fractional)
Tl  0.0000  0.0000  0.0000
Ag  0.0000  0.0017  0.4986
Ag  0.0000  0.4986  0.0017
Ag  0.2482  0.6625  0.6625
Ag  0.2526  0.1664  0.6594
Ag  0.2526  0.6594  0.1664
Ag  0.2546  0.1658  0.1658
Ag  0.5000  0.3284  0.3284
Ag  0.5000  0.3284  0.8275
Ag  0.5000  0.8274  0.8274
Ag  0.5000  0.8275  0.3284
Ag  0.7454  0.1658  0.1658
Ag  0.7474  0.1664  0.6594
Ag  0.7474  0.6594  0.1664
Ag  0.7518  0.6625  0.6625
Pd  0.0000  0.4995  0.4995


No. 3
Theoretical X-ray powder pattern
Compound: PmSnBi4
Radiation: Cu Kα
Structure: a DFT-relaxed cell (GGA-PBE, Alexandria)
No peak broadening, texture or thermal motion is included.

Top 8 peaks for 5° ≤ 2θ ≤ 70°, sorted by position:
2θ/deg, d [Å], I (rel.)
19.20, 4.623, 46
20.74, 4.283, 37
32.51, 2.754, 100
32.66, 2.742, 99
37.21, 2.417, 70
38.97, 2.311, 30
54.97, 1.670, 44
64.05, 1.454, 27

Cell and atoms:
Lattice parameters (Å, degrees): 8.9181 8.9181 8.9181 134.77 117.56 80.39
Element x y z (fractional)
Pm  0.3882  0.1382  0.2500
Pm  0.6118  0.8618  0.7500
Sn  0.1326  0.3826  0.7500
Sn  0.8674  0.6174  0.2500
Bi  0.0000  0.2318  0.2318
Bi  0.0000  0.7682  0.7682
Bi  0.2342  0.0000  0.7342
Bi  0.2342  0.5000  0.2342
Bi  0.5000  0.2318  0.7318
Bi  0.5000  0.7682  0.2682
Bi  0.7658  0.0000  0.2658
Bi  0.7658  0.5000  0.7658


No. 4
Theoretical X-ray powder pattern
Compound: Sr3Sb4Ir4
Radiation: Cu Kα
Structure: a DFT-relaxed cell (GGA-PBE, Alexandria)
No peak broadening, texture or thermal motion is included.

Top 8 peaks for 5° ≤ 2θ ≤ 70°, sorted by position:
2θ/deg, d [Å], I (rel.)
15.29, 5.795, 70
26.64, 3.346, 22
30.86, 2.898, 35
34.61, 2.592, 100
41.21, 2.190, 41
47.04, 1.932, 55
57.32, 1.607, 16
66.53, 1.406, 16

Cell and atoms:
Lattice parameters (Å, degrees): 7.0976 7.0976 7.0976 109.47 109.47 109.47
Element x y z (fractional)
Sr  0.0000  0.5000  0.5000
Sr  0.5000  0.0000  0.5000
Sr  0.5000  0.5000  0.0000
Sb  0.0000  0.0000  0.6344
Sb  0.0000  0.6344  0.0000
Sb  0.3656  0.3656  0.3656
Sb  0.6344  0.0000  0.0000
Ir  0.0000  0.0000  0.2766
Ir  0.0000  0.2766  0.0000
Ir  0.2766  0.0000  0.0000
Ir  0.7234  0.7234  0.7234


No. 5
Theoretical X-ray powder pattern
Compound: LaMg14Mn
Radiation: Cu Kα
Structure: a DFT-relaxed cell (GGA-PBE, Alexandria)
No peak broadening, texture or thermal motion is included.

Top 8 peaks for 5° ≤ 2θ ≤ 70°, sorted by position:
2θ/deg, d [Å], I (rel.)
15.68, 5.653, 35
23.42, 3.798, 26
31.66, 2.826, 29
34.99, 2.564, 23
36.29, 2.475, 100
47.90, 1.899, 17
56.38, 1.632, 17
68.11, 1.377, 18

Cell and atoms:
Lattice parameters (Å, degrees): 6.5272 6.5272 10.2564 90.00 90.00 120.00
Element x y z (fractional)
La  0.0000  0.0000  0.0000
Mg  0.0171  0.5086  0.0000
Mg  0.1650  0.3299  0.2647
Mg  0.1650  0.3299  0.7353
Mg  0.1650  0.8350  0.2647
Mg  0.1650  0.8350  0.7353
Mg  0.4914  0.5086  0.0000
Mg  0.4914  0.9829  0.0000
Mg  0.5031  0.0062  0.5000
Mg  0.5031  0.4969  0.5000
Mg  0.6667  0.3333  0.2368
Mg  0.6667  0.3333  0.7632
Mg  0.6701  0.8350  0.2647
Mg  0.6701  0.8350  0.7353
Mg  0.9938  0.4969  0.5000
Mn  0.0000  0.0000  0.5000


No. 6
Theoretical X-ray powder pattern
Compound: K3GePt
Radiation: Cu Kα
Structure: a DFT-relaxed cell (GGA-PBE, Alexandria)
No peak broadening, texture or thermal motion is included.

Top 8 peaks for 5° ≤ 2θ ≤ 70°, sorted by position:
2θ/deg, d [Å], I (rel.)
14.44, 6.135, 100
16.15, 5.488, 67
21.24, 4.182, 27
24.72, 3.602, 22
30.03, 2.976, 87
30.92, 2.892, 32
37.69, 2.387, 21
48.92, 1.862, 44

Cell and atoms:
Lattice parameters (Å, degrees): 12.2704 12.2704 4.7736 90.00 90.00 90.00
Element x y z (fractional)
K  0.0315  0.3169  0.0000
K  0.1033  0.1033  0.5000
K  0.1831  0.5315  0.5000
K  0.3169  0.0315  0.0000
K  0.3967  0.6033  0.0000
K  0.4685  0.8169  0.5000
K  0.5315  0.1831  0.5000
K  0.6033  0.3967  0.0000
K  0.6831  0.9685  0.0000
K  0.8169  0.4685  0.5000
K  0.8967  0.8967  0.5000
K  0.9685  0.6831  0.0000
Ge  0.1906  0.8094  0.5000
Ge  0.3094  0.3094  0.0000
Ge  0.6906  0.6906  0.0000
Ge  0.8094  0.1906  0.5000
Pt  0.1991  0.8009  0.0000
Pt  0.3009  0.3009  0.5000
Pt  0.6991  0.6991  0.5000
Pt  0.8009  0.1991  0.0000


No. 7
Theoretical X-ray powder pattern
Compound: Nd5Y12Ho2
Radiation: Cu Kα
Structure: a DFT-relaxed cell (GGA-PBE, Alexandria)
No peak broadening, texture or thermal motion is included.

Top 8 peaks for 5° ≤ 2θ ≤ 70°, sorted by position:
2θ/deg, d [Å], I (rel.)
29.96, 2.982, 24
30.05, 2.974, 12
31.22, 2.865, 83
31.32, 2.856, 15
31.51, 2.839, 100
31.95, 2.801, 15
32.46, 2.758, 40
32.69, 2.739, 36

Cell and atoms:
Lattice parameters (Å, degrees): 6.6224 9.0952 11.5081 111.30 95.76 96.75
Element x y z (fractional)
Nd  0.0000  0.0000  0.0000
Nd  0.1036  0.5586  0.8898
Nd  0.1654  0.7297  0.4829
Nd  0.8346  0.2703  0.5171
Nd  0.8964  0.4414  0.1102
Y  0.1171  0.1203  0.7298
Y  0.1337  0.3033  0.3057
Y  0.3462  0.7506  0.2109
Y  0.3656  0.3408  0.0375
Y  0.3745  0.4799  0.6363
Y  0.4387  0.8958  0.8207
Y  0.5613  0.1042  0.1793
Y  0.6255  0.5201  0.3637
Y  0.6344  0.6592  0.9625
Y  0.6538  0.2494  0.7891
Y  0.8663  0.6967  0.6943
Y  0.8829  0.8797  0.2702
Ho  0.3233  0.0930  0.4620
Ho  0.6767  0.9070  0.5380


No. 8
Theoretical X-ray powder pattern
Compound: Dy4TlCd3
Radiation: Cu Kα
Structure: a DFT-relaxed cell (GGA-PBE, Alexandria)
No peak broadening, texture or thermal motion is included.

Top 8 peaks for 5° ≤ 2θ ≤ 70°, sorted by position:
2θ/deg, d [Å], I (rel.)
5.86, 15.076, 3
26.55, 3.357, 1
29.73, 3.005, 1
33.75, 2.656, 100
48.29, 1.885, 6
48.57, 1.874, 12
60.25, 1.536, 12
60.43, 1.532, 25

Cell and atoms:
Lattice parameters (Å, degrees): 3.7489 3.7489 15.0764 90.00 90.00 90.00
Element x y z (fractional)
Dy  0.0000  0.0000  0.1241
Dy  0.0000  0.0000  0.3704
Dy  0.0000  0.0000  0.6296
Dy  0.0000  0.0000  0.8759
Tl  0.5000  0.5000  0.5000
Cd  0.5000  0.5000  0.0000
Cd  0.5000  0.5000  0.2455
Cd  0.5000  0.5000  0.7545


No. 9
Theoretical X-ray powder pattern
Compound: Ti3NiS6
Radiation: Cu Kα
Structure: a DFT-relaxed cell (GGA-PBE, Alexandria)
No peak broadening, texture or thermal motion is included.

Top 8 peaks for 5° ≤ 2θ ≤ 70°, sorted by position:
2θ/deg, d [Å], I (rel.)
15.58, 5.687, 16
19.14, 4.638, 33
30.48, 2.933, 19
34.41, 2.607, 83
44.37, 2.041, 100
54.17, 1.693, 47
57.93, 1.592, 15
65.72, 1.421, 18

Cell and atoms:
Lattice parameters (Å, degrees): 5.8657 5.8657 11.3738 90.00 90.00 120.00
Element x y z (fractional)
Ti  0.0000  0.0000  0.0000
Ti  0.0000  0.0000  0.5000
Ti  0.3333  0.6667  0.0054
Ti  0.3333  0.6667  0.4946
Ti  0.6667  0.3333  0.5054
Ti  0.6667  0.3333  0.9946
Ni  0.3333  0.6667  0.7500
Ni  0.6667  0.3333  0.2500
S  0.0046  0.3354  0.8720
S  0.0046  0.6692  0.6280
S  0.3308  0.3354  0.6280
S  0.3308  0.9954  0.8720
S  0.3354  0.0046  0.3720
S  0.3354  0.3308  0.1280
S  0.6646  0.6692  0.8720
S  0.6646  0.9954  0.6280
S  0.6692  0.0046  0.1280
S  0.6692  0.6646  0.3720
S  0.9954  0.3308  0.3720
S  0.9954  0.6646  0.1280


No. 10
Theoretical X-ray powder pattern
Compound: Hf2Mn3Ge4
Radiation: Cu Kα
Structure: a DFT-relaxed cell (GGA-PBE, Alexandria)
No peak broadening, texture or thermal motion is included.

Top 8 peaks for 5° ≤ 2θ ≤ 70°, sorted by position:
2θ/deg, d [Å], I (rel.)
29.53, 3.025, 19
29.91, 2.988, 20
34.97, 2.566, 36
35.69, 2.516, 43
41.65, 2.169, 100
42.53, 2.126, 22
46.41, 1.957, 30
67.29, 1.391, 24

Cell and atoms:
Lattice parameters (Å, degrees): 7.5156 6.5721 5.1437 78.77 59.06 42.17
Element x y z (fractional)
Hf  0.1322  0.1322  0.8678
Hf  0.8678  0.8678  0.1322
Mn  0.0000  0.0000  0.5000
Mn  0.5000  0.5000  0.0000
Mn  0.5000  0.5000  0.5000
Ge  0.1734  0.5009  0.4991
Ge  0.4991  0.8266  0.1734
Ge  0.5009  0.1734  0.8266
Ge  0.8266  0.4991  0.5009


No. 11
Theoretical X-ray powder pattern
Compound: CrSnSe4
Radiation: Cu Kα
Structure: a DFT-relaxed cell (GGA-PBE, Alexandria)
No peak broadening, texture or thermal motion is included.

Top 8 peaks for 5° ≤ 2θ ≤ 70°, sorted by position:
2θ/deg, d [Å], I (rel.)
14.46, 6.124, 62
28.48, 3.134, 29
32.93, 2.720, 54
34.38, 2.608, 100
47.97, 1.896, 32
48.71, 1.869, 37
50.36, 1.812, 17
61.49, 1.508, 17

Cell and atoms:
Lattice parameters (Å, degrees): 12.4164 3.6241 6.6768 90.00 99.44 90.00
Element x y z (fractional)
Cr  0.0000  0.0000  0.0000
Cr  0.5000  0.5000  0.0000
Sn  0.0000  0.5000  0.5000
Sn  0.5000  0.0000  0.5000
Se  0.1180  0.5000  0.8831
Se  0.1258  0.0000  0.3335
Se  0.3742  0.5000  0.6665
Se  0.3820  0.0000  0.1169
Se  0.6180  0.0000  0.8831
Se  0.6258  0.5000  0.3335
Se  0.8742  0.0000  0.6665
Se  0.8820  0.5000  0.1169


No. 12
Theoretical X-ray powder pattern
Compound: LaZn5Pd2
Radiation: Cu Kα
Structure: a DFT-relaxed cell (GGA-PBE, Alexandria)
No peak broadening, texture or thermal motion is included.

Top 8 peaks for 5° ≤ 2θ ≤ 70°, sorted by position:
2θ/deg, d [Å], I (rel.)
31.04, 2.881, 67
33.83, 2.650, 80
35.45, 2.532, 100
42.58, 2.123, 41
44.27, 2.046, 51
44.68, 2.028, 65
46.72, 1.944, 42
64.72, 1.440, 42

Cell and atoms:
Lattice parameters (Å, degrees): 4.0923 7.4517 9.6703 90.00 90.00 90.00
Element x y z (fractional)
La  0.0000  0.0000  0.0000
La  0.5000  0.5000  0.5000
Zn  0.0000  0.1797  0.3546
Zn  0.0000  0.1797  0.6454
Zn  0.0000  0.5000  0.0000
Zn  0.0000  0.8203  0.3546
Zn  0.0000  0.8203  0.6454
Zn  0.5000  0.0000  0.5000
Zn  0.5000  0.3203  0.1454
Zn  0.5000  0.3203  0.8546
Zn  0.5000  0.6797  0.1454
Zn  0.5000  0.6797  0.8546
Pd  0.0000  0.5000  0.2602
Pd  0.0000  0.5000  0.7398
Pd  0.5000  0.0000  0.2398
Pd  0.5000  0.0000  0.7602